No. 1
Diffraction record for CsSb2O6. The X-ray powder pattern is theoretical, not measured: it uses a GGA-PBE-relaxed structure and copper Kα.
Lines closer than 0.1° are merged.

The 12 most intense peaks (5° ≤ 2θ ≤ 70°), in order of rising 2θ:
2θ (°)  I/Imax
14.64  10.2
24.02  18.8
28.24  100.0
29.53  36.8
42.24  5.4
44.94  32.3
49.18  38.9
55.45  6.7
57.68  14.1
58.41  15.6
66.80  5.7
68.81  24.0

Cell and atoms:
```
CsSb2O6
1.0
0.0000 5.2402 5.2402
5.2402 0.0000 5.2402
5.2402 5.2402 0.0000
Cs Sb O
2 4 12
Direct
0.1250 0.1250 0.1250 Cs
0.8750 0.8750 0.8750 Cs
0.0000 0.5000 0.5000 Sb
0.5000 0.0000 0.5000 Sb
0.5000 0.5000 0.0000 Sb
0.5000 0.5000 0.5000 Sb
0.1772 0.1772 0.5728 O
0.1772 0.5728 0.1772 O
0.1772 0.5728 0.5728 O
0.4272 0.4272 0.8228 O
0.4272 0.8228 0.4272 O
0.4272 0.8228 0.8228 O
0.5728 0.1772 0.1772 O
0.5728 0.1772 0.5728 O
0.5728 0.5728 0.1772 O
0.8228 0.4272 0.4272 O
0.8228 0.4272 0.8228 O
0.8228 0.8228 0.4272 O
```

=====

No. 2
Diffraction record for Sr2MgTlO5. The X-ray powder pattern is theoretical, not measured: it uses a GGA-PBE-relaxed structure and copper Kα.
Lines closer than 0.1° are merged.

The 12 most intense peaks (5° ≤ 2θ ≤ 70°), in order of rising 2θ:
2θ (°)  I/Imax
12.50  66.1
20.64  23.9
26.49  30.4
27.72  56.5
30.56  100.0
31.33  30.3
32.43  39.8
35.50  37.7
39.06  32.8
42.30  30.6
48.07  27.0
58.28  26.9

Cell and atoms:
```
Sr2MgTlO5
1.0
1.7927 -7.0802 0.0000
1.7927 7.0802 0.0000
0.0000 0.0000 10.8374
Sr Mg Tl O
4 2 2 10
Direct
0.0947 0.9053 0.5000 Sr
0.1357 0.8643 0.1400 Sr
0.8643 0.1357 0.6400 Sr
0.9053 0.0947 0.0000 Sr
0.2309 0.7691 0.8668 Mg
0.7691 0.2309 0.3668 Mg
0.4542 0.5458 0.3011 Tl
0.5458 0.4542 0.8011 Tl
0.0792 0.9208 0.9081 O
0.2686 0.7314 0.4947 O
0.2897 0.7103 0.2673 O
0.3783 0.6217 0.8361 O
0.4971 0.5029 0.1116 O
0.5029 0.4971 0.6116 O
0.6217 0.3783 0.3361 O
0.7103 0.2897 0.7673 O
0.7314 0.2686 0.9947 O
0.9208 0.0792 0.4081 O
```